(1)
The following is a theoretical powder X-ray diffraction pattern of Sm2Si4W3. It was derived from a cell relaxed with PBE, using copper Kα.

Atomic structure:
a b c (Å): 6.8979 6.9770 6.8615
angles (deg): 90.00 109.04 90.00
Space group P2_1/c (No. 14)
Symmetry-distinct sites (fractional):
Sm1 0.1884 0.1686 0.0609 [4 per cell]
Si1 0.0924 0.5478 0.8691 [4 per cell]
Si2 0.4940 0.6325 0.6265 [4 per cell]
W1 0.2544 0.6587 0.2483 [4 per cell]
W2 0.5000 0.0000 0.5000 [2 per cell]

Top 8 peaks for 10° ≤ 2θ ≤ 80°, low angle first:
| Position (°2θ) | I (rel.) | h k l |
| --- | --- | --- |
| 25.71 | 22 | 1 1 1 |
| 29.06 | 31 | 0 2 1 |
| 29.39 | 22 | 1 1 -2 |
| 31.95 | 16 | 2 0 -2 |
| 37.02 | 100 | 2 2 -1 |
| 37.77 | 19 | 2 2 0 |
| 41.24 | 20 | 0 3 1 |
| 41.55 | 35 | 1 1 -3 |

(2)
The following is a theoretical powder X-ray diffraction pattern of Pa14TaTi. It was derived from a cell relaxed with PBE, using copper Kα.

Atomic structure:
a b c (Å): 9.5526 9.0144 9.0192
angles (deg): 90.00 90.00 90.00
Space group Amm2 (No. 38)
Symmetry-distinct sites (fractional):
Pa1 0.0000 0.0000 0.0001 [2 per cell]
Pa2 0.0000 0.0000 0.5000 [2 per cell]
Pa3 0.0000 0.2500 0.2500 [4 per cell]
Pa4 0.2579 0.0000 0.2497 [4 per cell]
Pa5 0.2577 0.0000 0.7507 [4 per cell]
Pa6 0.2577 0.2496 0.0001 [8 per cell]
Pa7 0.5000 0.2499 0.2503 [4 per cell]
Ta1 0.5000 0.0000 0.5007 [2 per cell]
Ti1 0.5000 0.0000 0.0003 [2 per cell]

Top 8 peaks for 10° ≤ 2θ ≤ 80°, low angle first:
| Position (°2θ) | I (rel.) | h k l |
| --- | --- | --- |
| 33.80 | 100 | 2 2 2 |
| 37.67 | 18 | 4 0 0 |
| 40.00 | 32 | 0 4 0 |
| 56.11 | 25 | 4 4 0 |
| 57.85 | 11 | 0 4 4 |
| 65.54 | 15 | 6 2 2 |
| 68.71 | 27 | 2 6 2 |
| 71.11 | 12 | 4 4 4 |

(3)
The following is a theoretical powder X-ray diffraction pattern of BeZnCu. It was derived from a cell relaxed with PBE, using copper Kα.

Atomic structure:
a b c (Å): 2.6731 2.6731 19.9745
angles (deg): 90.00 90.00 90.00
Space group I4/mmm (No. 139)
Symmetry-distinct sites (fractional):
Be1 0.0000 0.0000 0.2219 [4 per cell]
Zn1 0.0000 0.0000 0.0631 [4 per cell]
Cu1 0.0000 0.0000 0.3451 [4 per cell]

Top 8 peaks for 10° ≤ 2θ ≤ 80°, low angle first:
| Position (°2θ) | I (rel.) | h k l |
| --- | --- | --- |
| 17.76 | 38 | 0 0 4 |
| 35.97 | 13 | 0 0 8 |
| 36.21 | 100 | 1 0 3 |
| 45.41 | 20 | 0 0 10 |
| 46.55 | 100 | 1 0 7 |
| 48.14 | 56 | 1 1 0 |
| 68.32 | 21 | 1 1 10 |
| 70.45 | 16 | 2 0 0 |

(4)
The following is a theoretical powder X-ray diffraction pattern of AcCe2Si2Pt7. It was derived from a cell relaxed with PBE, using copper Kα.

Atomic structure:
a b c (Å): 6.1270 5.8029 13.8417
angles (deg): 90.00 98.98 90.00
Space group C2/m (No. 12)
Symmetry-distinct sites (fractional):
Ac1 0.0000 0.0000 0.0000 [2 per cell]
Ce1 0.1154 0.0000 0.3598 [4 per cell]
Si1 0.1000 0.5000 0.2570 [4 per cell]
Pt1 0.0000 0.5000 0.0000 [2 per cell]
Pt2 0.1212 0.5000 0.4277 [4 per cell]
Pt3 0.1826 0.2524 0.8272 [8 per cell]

Top 8 peaks for 10° ≤ 2θ ≤ 80°, low angle first:
| Position (°2θ) | I (rel.) | h k l |
| --- | --- | --- |
| 32.75 | 57 | 0 0 5 |
| 32.88 | 79 | 2 0 -3 |
| 33.55 | 66 | 0 2 2 |
| 34.23 | 100 | 2 0 2 |
| 36.72 | 99 | 0 2 3 |
| 42.98 | 87 | 2 2 -1 |
| 43.20 | 34 | 2 2 0 |
| 74.00 | 27 | 2 4 -3 |

(5)
The following is a theoretical powder X-ray diffraction pattern of Dy3P4Pd7. It was derived from a cell relaxed with PBE, using copper Kα.

Atomic structure:
a b c (Å): 15.3882 4.0007 9.4012
angles (deg): 90.00 125.52 90.00
Space group C2/m (No. 12)
Symmetry-distinct sites (fractional):
Dy1 0.0000 0.0000 0.0000 [2 per cell]
Dy2 0.1801 0.5000 0.6771 [4 per cell]
P1 0.1062 0.0000 0.8201 [4 per cell]
P2 0.1594 0.5000 0.2537 [4 per cell]
Pd1 0.0000 0.0000 0.5000 [2 per cell]
Pd2 0.0098 0.5000 0.2836 [4 per cell]
Pd3 0.1676 0.0000 0.4203 [4 per cell]
Pd4 0.1947 0.5000 0.0300 [4 per cell]

Top 8 peaks for 10° ≤ 2θ ≤ 80°, low angle first:
| Position (°2θ) | I (rel.) | h k l |
| --- | --- | --- |
| 36.09 | 100 | 1 1 2 |
| 36.46 | 48 | 6 0 -3 |
| 36.94 | 70 | 5 1 -2 |
| 37.45 | 21 | 3 1 1 |
| 38.32 | 30 | 4 0 -4 |
| 39.67 | 26 | 5 1 -3 |
| 43.35 | 34 | 6 0 0 |
| 45.34 | 46 | 0 2 0 |

(6)
The following is a theoretical powder X-ray diffraction pattern of CeTmTh2Sb5. It was derived from a cell relaxed with PBE, using copper Kα.

Atomic structure:
a b c (Å): 5.2386 5.2386 11.5824
angles (deg): 90.00 90.00 90.00
Space group P4/mmm (No. 123)
Symmetry-distinct sites (fractional):
Ce1 0.0000 0.0000 0.0000 [1 per cell]
Tm1 0.0000 0.0000 0.5000 [1 per cell]
Th1 0.5000 0.5000 0.3075 [2 per cell]
Sb1 0.0000 0.0000 0.2509 [2 per cell]
Sb2 0.0000 0.5000 0.5000 [2 per cell]
Sb3 0.5000 0.5000 0.0000 [1 per cell]

Top 8 peaks for 10° ≤ 2θ ≤ 80°, low angle first:
| Position (°2θ) | I (rel.) | h k l |
| --- | --- | --- |
| 24.02 | 100 | 1 1 0 |
| 28.72 | 49 | 1 0 3 |
| 30.88 | 33 | 0 0 4 |
| 33.53 | 60 | 1 1 3 |
| 34.23 | 98 | 2 0 0 |
| 45.28 | 29 | 2 1 3 |
| 46.77 | 41 | 2 0 4 |
| 49.19 | 35 | 2 2 0 |

Q: Number 1 is which compound?
A: Sm2Si4W3